1.
# KRbZnF6
Computed powder diffractogram, Cu Kα X-rays. Input: a GGA-PBE-relaxed structure.

Most intense lines, 10 to 80 degrees two-theta, by angle:
two_theta	I (rel.)	hkl
17.46	21	1 1 0
18.06	17	0 0 1
25.22	100	1 1 -1
30.48	52	3 1 0
39.96	92	4 0 -1
40.82	28	1 1 2
51.07	24	5 1 1
51.78	29	2 2 -2
61.28	21	1 3 2
63.43	20	6 2 0

Crystal structure
```
data_KRbZnF6
_cell_length_a 10.165
_cell_length_b 5.864
_cell_length_c 4.911
_cell_angle_alpha 90.00
_cell_angle_beta 90.07
_cell_angle_gamma 90.00
_space_group_name_H-M_alt 'C 1 m 1'
_space_group_IT_number 8
_space_group_name_Hall 'C -2y'
loop_
_atom_site_label
_atom_site_type_symbol
_atom_site_fract_x
_atom_site_fract_y
_atom_site_fract_z
K1 K 0.000 0.000 0.000
Rb1 Rb 0.167 0.500 0.553
Zn1 Zn 0.333 0.000 0.259
F1 F 0.174 0.000 0.472
F2 F 0.254 0.238 0.041
F3 F 0.413 0.239 0.473
F4 F 0.492 0.000 0.042
```


2.
# La2Sb2Rh3
Computed powder diffractogram, Cu Kα X-rays. Input: a GGA-PBE-relaxed structure.

Most intense lines, 10 to 80 degrees two-theta, by angle:
two_theta	I (rel.)	hkl
14.33	22	1 1 0
28.89	100	2 2 0
32.38	33	3 0 1
35.57	54	2 2 2
38.53	67	3 2 1
41.31	75	4 0 0
48.86	28	3 3 2
51.19	26	4 2 2
59.85	39	4 4 0
71.60	34	6 2 2

Crystal structure
```
data_La2Sb2Rh3
_cell_length_a 8.742
_cell_length_b 8.742
_cell_length_c 8.742
_cell_angle_alpha 90.00
_cell_angle_beta 90.00
_cell_angle_gamma 90.00
_space_group_name_H-M_alt 'I 21 3'
_space_group_IT_number 199
_space_group_name_Hall 'I 2b 2c 3'
loop_
_atom_site_label
_atom_site_type_symbol
_atom_site_fract_x
_atom_site_fract_y
_atom_site_fract_z
La1 La 0.005 0.005 0.005
Sb1 Sb 0.209 0.291 0.709
Rh1 Rh 0.000 0.250 0.227
```


3.
# Mg2Cr
Computed powder diffractogram, Cu Kα X-rays. Input: a GGA-PBE-relaxed structure.

Most intense lines, 10 to 80 degrees two-theta, by angle:
two_theta	I (rel.)	hkl
21.32	38	1 1 0
32.15	29	1 0 1
36.77	46	1 1 1
37.37	100	3 0 0
38.90	38	2 0 1
44.78	34	2 1 1
53.43	12	2 2 1
64.14	20	3 2 1
67.40	13	3 3 0
74.19	23	3 0 2

Crystal structure
```
data_Mg2Cr
_cell_length_a 8.3365
_cell_length_b 8.3365
_cell_length_c 3.0171
_cell_angle_alpha 90.00
_cell_angle_beta 90.00
_cell_angle_gamma 120.00
_space_group_name_H-M_alt 'P -6 2 m'
_space_group_IT_number 189
_space_group_name_Hall 'P -6 -2'
loop_
_atom_site_label
_atom_site_type_symbol
_atom_site_fract_x
_atom_site_fract_y
_atom_site_fract_z
Mg1 Mg 0.0000 0.3036 0.0000
Mg2 Mg 0.0000 0.6379 0.5000
Cr1 Cr 0.0000 0.0000 0.5000
Cr2 Cr 0.3333 0.6667 0.0000
```


Q: Number 1 is which compound?
A: KRbZnF6